Diffraction record for Pu3Si3Ir. The X-ray powder pattern is computed, not measured: it uses the GGA-PBE geometry in Alexandria and Cu Ka.
Intensities are scaled so that the largest is 100.

The 8 most intense peaks (10 to 90 degrees two-theta), most intense first:
2theta	intensity
33.55	100
34.30	65
22.85	64
33.43	61
33.10	57
42.77	54
28.00	37
40.90	35

Cell and atoms:
Cell: 5.7076 5.7076 13.3177 Å, 108.63 108.63 43.48°
Fractional positions:
Pu: 0.0100 0.0100 0.3732
Pu: 0.0993 0.0993 0.9146
Pu: 0.2533 0.2533 0.2185
Pu: 0.7467 0.7467 0.7815
Pu: 0.9007 0.9007 0.0854
Pu: 0.9900 0.9900 0.6268
Si: 0.3659 0.3659 0.4502
Si: 0.3939 0.3939 0.9274
Si: 0.4394 0.4394 0.7585
Si: 0.5606 0.5606 0.2415
Si: 0.6061 0.6061 0.0726
Si: 0.6341 0.6341 0.5498
Ir: 0.2571 0.2571 0.5841
Ir: 0.7429 0.7429 0.4159

Diffraction record for Nd4Y8Er. The X-ray powder pattern is computed, not measured: it uses the GGA-PBE geometry in Alexandria and Cu Ka.
Intensities are scaled so that the largest is 100.

The 8 most intense peaks (10 to 90 degrees two-theta), most intense first:
2theta	intensity
32.30	100
57.57	27
19.61	19
46.32	18
76.91	15
38.07	10
57.68	9
25.40	7

Cell and atoms:
Cell: 7.8403 7.8403 7.8403 Å, 90.09 90.09 90.09°
Fractional positions:
Nd: 0.0000 0.0000 0.0000
Nd: 0.0000 0.5000 0.5000
Nd: 0.5000 0.0000 0.5000
Nd: 0.5000 0.5000 0.0000
Y: 0.2407 0.2407 0.2407
Y: 0.2407 0.2407 0.7586
Y: 0.2407 0.7586 0.2407
Y: 0.2414 0.7593 0.7593
Y: 0.7586 0.2407 0.2407
Y: 0.7593 0.2414 0.7593
Y: 0.7593 0.7593 0.2414
Y: 0.7593 0.7593 0.7593
Er: 0.5000 0.5000 0.5000

Diffraction record for Ho2Fe9Si3. The X-ray powder pattern is computed, not measured: it uses the GGA-PBE geometry in Alexandria and Cu Ka.
Intensities are scaled so that the largest is 100.

The 8 most intense peaks (10 to 90 degrees two-theta), most intense first:
2theta	intensity
36.86	100
37.10	85
26.59	55
40.25	48
47.74	43
40.58	38
43.55	28
25.24	26

Cell and atoms:
Cell: 3.8103 7.0582 7.0582 Å, 89.25 90.00 90.00°
Fractional positions:
Ho: 0.0000 0.0000 0.0000
Ho: 0.5000 0.4913 0.4913
Fe: 0.0000 0.1537 0.4085
Fe: 0.0000 0.4085 0.1537
Fe: 0.0000 0.5822 0.8465
Fe: 0.0000 0.8465 0.5822
Fe: 0.5000 0.0876 0.6376
Fe: 0.5000 0.2130 0.2130
Fe: 0.5000 0.3455 0.9003
Fe: 0.5000 0.6376 0.0876
Fe: 0.5000 0.9003 0.3455
Si: 0.0000 0.2782 0.7130
Si: 0.0000 0.7130 0.2782
Si: 0.5000 0.7766 0.7766

Number 3 is which compound?
Ho2Fe9Si3

Please write out number 1 again, unchanged.
Diffraction record for Pu3Si3Ir. The X-ray powder pattern is computed, not measured: it uses the GGA-PBE geometry in Alexandria and Cu Ka.
Intensities are scaled so that the largest is 100.

The 8 most intense peaks (10 to 90 degrees two-theta), most intense first:
2theta	intensity
33.55	100
34.30	65
22.85	64
33.43	61
33.10	57
42.77	54
28.00	37
40.90	35

Cell and atoms:
Cell: 5.7076 5.7076 13.3177 Å, 108.63 108.63 43.48°
Fractional positions:
Pu: 0.0100 0.0100 0.3732
Pu: 0.0993 0.0993 0.9146
Pu: 0.2533 0.2533 0.2185
Pu: 0.7467 0.7467 0.7815
Pu: 0.9007 0.9007 0.0854
Pu: 0.9900 0.9900 0.6268
Si: 0.3659 0.3659 0.4502
Si: 0.3939 0.3939 0.9274
Si: 0.4394 0.4394 0.7585
Si: 0.5606 0.5606 0.2415
Si: 0.6061 0.6061 0.0726
Si: 0.6341 0.6341 0.5498
Ir: 0.2571 0.2571 0.5841
Ir: 0.7429 0.7429 0.4159